Sr2AsW: calculated X-ray diffraction stick pattern (CuKα), based on a crystal structure in Alexandria, relaxed with GGA-PBE.
Peak positions follow from Bragg's law for the DFT cell and can differ from measured ones.

Top 10 peaks for 15 to 90 degrees two-theta, low angle first:
Position (°2θ)	I/Imax	h k l
27.38	37	1 0 1
29.01	38	0 0 3
32.20	100	1 0 2
36.50	93	1 1 0
37.82	34	1 1 1
39.06	97	1 0 3
47.28	45	1 1 3
52.58	32	2 0 0
62.99	38	2 1 2
67.41	41	2 1 3

Structural model:
```
data_Sr2AsW
_cell_length_a 3.481
_cell_length_b 3.481
_cell_length_c 9.235
_cell_angle_alpha 90.00
_cell_angle_beta 90.00
_cell_angle_gamma 90.00
_symmetry_space_group_name_H-M 'P 4 m m'
_symmetry_Int_Tables_number 99
loop_
_symmetry_equiv_pos_as_xyz
'x,y,z'
'-y,x,z'
'-x,-y,z'
'y,-x,z'
'-x,y,z'
'y,x,z'
'x,-y,z'
'-y,-x,z'
loop_
_atom_site_label
_atom_site_type_symbol
_atom_site_fract_x
_atom_site_fract_y
_atom_site_fract_z
_atom_site_occupancy
Sr1 Sr 0.000 0.000 0.000 1
Sr2 Sr 0.500 0.500 0.407 1
As1 As 0.500 0.500 0.766 1
W1 W 0.000 0.000 0.657 1
```


SrAsW2: calculated X-ray diffraction stick pattern (CuKα), based on a crystal structure in Alexandria, relaxed with GGA-PBE.
Peak positions follow from Bragg's law for the DFT cell and can differ from measured ones.

Top 10 peaks for 15 to 90 degrees two-theta, low angle first:
Position (°2θ)	I/Imax	h k l
27.93	66	0 0 2
35.07	65	1 1 0
35.23	100	1 1 -1
40.41	63	1 1 1
40.75	58	1 1 -2
43.01	44	0 2 0
49.74	31	1 1 2
50.23	31	1 1 -3
52.07	23	0 2 2
72.55	22	2 2 -1

Structural model:
```
data_SrAsW2
_cell_length_a 3.321
_cell_length_b 4.206
_cell_length_c 6.582
_cell_angle_alpha 90.00
_cell_angle_beta 103.94
_cell_angle_gamma 90.00
_symmetry_space_group_name_H-M 'P 1 m 1'
_symmetry_Int_Tables_number 6
loop_
_symmetry_equiv_pos_as_xyz
'x,y,z'
'x,-y,z'
loop_
_atom_site_label
_atom_site_type_symbol
_atom_site_fract_x
_atom_site_fract_y
_atom_site_fract_z
_atom_site_occupancy
Sr1 Sr 0.000 0.000 0.000 1
As1 As 0.383 0.500 0.756 1
W1 W 0.262 0.000 0.500 1
W2 W 0.737 0.500 0.450 1
```


SrZn2As2: calculated X-ray diffraction stick pattern (CuKα), based on a crystal structure in Alexandria, relaxed with GGA-PBE.
Peak positions follow from Bragg's law for the DFT cell and can differ from measured ones.

Top 10 peaks for 15 to 90 degrees two-theta, low angle first:
Position (°2θ)	I/Imax	h k l
29.04	100	2 1 1
31.52	50	3 0 2
34.04	72	1 1 3
34.35	28	1 0 4
39.71	21	4 0 2
40.75	18	1 1 4
43.30	39	0 2 0
45.47	17	4 1 2
51.33	19	5 1 1
54.53	21	3 2 2

Structural model:
```
data_SrZn2As2
_cell_length_a 10.003
_cell_length_b 4.180
_cell_length_c 10.819
_cell_angle_alpha 90.00
_cell_angle_beta 90.00
_cell_angle_gamma 90.00
_symmetry_space_group_name_H-M 'P n m a'
_symmetry_Int_Tables_number 62
loop_
_symmetry_equiv_pos_as_xyz
'x,y,z'
'-x,-y,-z'
'-x+1/2,-y,z+1/2'
'x+1/2,y,-z+1/2'
'x+1/2,-y+1/2,-z+1/2'
'-x+1/2,y+1/2,z+1/2'
'-x,y+1/2,-z'
'x,-y+1/2,z'
loop_
_atom_site_label
_atom_site_type_symbol
_atom_site_fract_x
_atom_site_fract_y
_atom_site_fract_z
_atom_site_occupancy
Sr1 Sr 0.248 0.250 0.184 1
Zn1 Zn 0.056 0.750 0.390 1
Zn2 Zn 0.090 0.750 0.952 1
As1 As 0.023 0.250 0.831 1
As2 As 0.161 0.250 0.471 1
```


Sr3ZrAs3: calculated X-ray diffraction stick pattern (CuKα), based on a crystal structure in Alexandria, relaxed with GGA-PBE.
Peak positions follow from Bragg's law for the DFT cell and can differ from measured ones.

Top 10 peaks for 15 to 90 degrees two-theta, low angle first:
Position (°2θ)	I/Imax	h k l
24.70	37	1 1 3
25.11	25	0 2 0
27.28	26	5 1 1
27.72	77	0 0 4
27.85	49	6 0 0
33.64	17	3 1 4
37.80	100	6 2 0
39.71	68	6 0 4
43.14	17	3 3 2
47.57	19	6 2 4

Structural model:
```
data_Sr3ZrAs3
_cell_length_a 19.223
_cell_length_b 7.092
_cell_length_c 12.867
_cell_angle_alpha 90.00
_cell_angle_beta 90.00
_cell_angle_gamma 90.00
_symmetry_space_group_name_H-M 'C m c e'
_symmetry_Int_Tables_number 64
_symmetry_space_group_name_Hall '-C 2ac 2'
loop_
_atom_site_label
_atom_site_type_symbol
_atom_site_fract_x
_atom_site_fract_y
_atom_site_fract_z
_atom_site_occupancy
Sr1 Sr 0.000 0.158 0.159 1
Sr2 Sr 0.176 0.166 0.865 1
Zr1 Zr 0.086 0.000 0.500 1
As1 As 0.000 0.231 0.397 1
As2 As 0.161 0.216 0.621 1
```


Ta5As2: calculated X-ray diffraction stick pattern (CuKα), based on a crystal structure in Alexandria, relaxed with GGA-PBE.
Peak positions follow from Bragg's law for the DFT cell and can differ from measured ones.

Top 10 peaks for 15 to 90 degrees two-theta, low angle first:
Position (°2θ)	I/Imax	h k l
33.98	29	1 1 2
35.19	100	0 2 1
37.03	76	4 0 -2
37.30	22	5 1 -1
37.75	54	2 2 1
39.03	30	5 1 1
39.16	17	3 1 2
39.74	23	4 0 2
42.95	44	4 2 -1
46.82	24	1 1 -3

Structural model:
```
data_Ta5As2
_cell_length_a 14.346
_cell_length_b 5.597
_cell_length_c 6.223
_cell_angle_alpha 90.00
_cell_angle_beta 93.98
_cell_angle_gamma 90.00
_symmetry_space_group_name_H-M 'C 1 2/c 1'
_symmetry_Int_Tables_number 15
loop_
_symmetry_equiv_pos_as_xyz
'x,y,z'
'-x,-y,-z'
'-x,y,-z+1/2'
'x,-y,z+1/2'
'x+1/2,y+1/2,z'
'-x+1/2,-y+1/2,-z'
'-x+1/2,y+1/2,-z+1/2'
'x+1/2,-y+1/2,z+1/2'
loop_
_atom_site_label
_atom_site_type_symbol
_atom_site_fract_x
_atom_site_fract_y
_atom_site_fract_z
_atom_site_occupancy
Ta1 Ta 0.000 0.125 0.250 1
Ta2 Ta 0.093 0.407 0.931 1
Ta3 Ta 0.229 0.140 0.273 1
As1 As 0.112 0.165 0.584 1
```


Ta5As3: calculated X-ray diffraction stick pattern (CuKα), based on a crystal structure in Alexandria, relaxed with GGA-PBE.
Peak positions follow from Bragg's law for the DFT cell and can differ from measured ones.

Top 10 peaks for 15 to 90 degrees two-theta, low angle first:
Position (°2θ)	I/Imax	h k l
26.96	18	2 0 0
35.92	45	2 1 0
36.44	33	1 0 2
39.84	100	2 1 1
40.93	37	3 0 0
41.40	74	1 1 2
59.62	23	2 2 2
64.50	41	4 1 0
66.61	20	4 0 2
81.22	15	5 0 2

Structural model:
```
data_Ta5As3
_cell_length_a 7.6389
_cell_length_b 7.6389
_cell_length_c 5.3139
_cell_angle_alpha 90.00
_cell_angle_beta 90.00
_cell_angle_gamma 120.00
_symmetry_space_group_name_H-M 'P 63/m c m'
_symmetry_Int_Tables_number 193
_symmetry_space_group_name_Hall '-P 6c 2'
loop_
_atom_site_label
_atom_site_type_symbol
_atom_site_fract_x
_atom_site_fract_y
_atom_site_fract_z
_atom_site_occupancy
Ta1 Ta 0.0000 0.2372 0.2500 1
Ta2 Ta 0.3333 0.6667 0.0000 1
As1 As 0.0000 0.3916 0.7500 1
```